Bi4O3F7: simulated powder diffraction line list (copper Kα), based on a crystal structure in Alexandria, relaxed with PBE.
Neutral-atom scattering factors, no anomalous dispersion.

Structure:
abc: 5.824 3.907 8.469
angles: 90.00 90.55 90.00
Space group Pm (No. 6)
Symmetry-distinct sites (fractional):
Bi 0.000 0.000 0.000 [1 per cell]
Bi 0.008 0.000 0.489 [1 per cell]
Bi 0.422 0.500 0.248 [1 per cell]
Bi 0.494 0.500 0.755 [1 per cell]
O 0.172 0.000 0.246 [1 per cell]
O 0.261 0.500 0.005 [1 per cell]
O 0.268 0.500 0.490 [1 per cell]
F 0.207 0.000 0.747 [1 per cell]
F 0.594 0.000 0.917 [1 per cell]
F 0.619 0.000 0.612 [1 per cell]
F 0.634 0.000 0.266 [1 per cell]
F 0.800 0.500 0.428 [1 per cell]
F 0.804 0.500 0.099 [1 per cell]
F 0.881 0.500 0.778 [1 per cell]

Main lines, by intensity (5° ≤ 2θ ≤ 70°):
2θ 27.49, 3.244 Å, rel. 100.0, hkl 1 1 0
2θ 31.15, 2.871 Å, rel. 72.7, hkl 0 1 2
2θ 25.90, 3.441 Å, rel. 63.2, hkl 1 0 -2
2θ 26.14, 3.410 Å, rel. 61.9, hkl 1 0 2
2θ 44.45, 2.038 Å, rel. 35.6, hkl 2 1 2
2θ 44.15, 2.051 Å, rel. 34.8, hkl 2 1 -2
2θ 30.70, 2.912 Å, rel. 29.7, hkl 2 0 0
2θ 46.49, 1.953 Å, rel. 22.1, hkl 0 2 0
2θ 51.41, 1.777 Å, rel. 22.1, hkl 1 1 -4
2θ 51.68, 1.769 Å, rel. 22.1, hkl 1 1 4
2θ 42.71, 2.117 Å, rel. 21.3, hkl 0 0 4
2θ 53.98, 1.699 Å, rel. 20.0, hkl 1 2 -2